Simulated powder diffraction line list
Compound: La7IrPt4
Radiation: Cu Kα, 1.54184 Å
Structure: a PBE-relaxed structure
Neutral-atom scattering factors, no anomalous dispersion.

Atomic structure:
a = 7.278 Å, b = 7.278 Å, c = 12.669 Å
α = 104.38°, β = 104.38°, γ = 33.18°
Positions (direct):
La1 0.000 0.000 0.000
La2 0.215 0.215 0.854
La3 0.294 0.294 0.418
La4 0.522 0.522 0.276
La5 0.599 0.599 0.586
La6 0.754 0.754 0.141
La7 0.910 0.910 0.688
Ir1 0.142 0.142 0.212
Pt1 0.255 0.255 0.637
Pt2 0.373 0.373 0.062
Pt3 0.559 0.559 0.819
Pt4 0.953 0.953 0.456

Principal peaks in the range 2θ = 10–90°, by angle:
2θ 22.0, d = 4.038 Å, rel. 52; 2θ 22.4, d = 3.974 Å, rel. 64; 2θ 28.8, d = 3.105 Å, rel. 50; 2θ 28.9, d = 3.090 Å, rel. 78; 2θ 29.3, d = 3.051 Å, rel. 49; 2θ 30.4, d = 2.945 Å, rel. 100; 2θ 31.5, d = 2.845 Å, rel. 77; 2θ 43.6, d = 2.078 Å, rel. 63

***

Simulated powder diffraction line list
Compound: LaTmTlGa
Radiation: Cu Kα, 1.54184 Å
Structure: a PBE-relaxed structure
Neutral-atom scattering factors, no anomalous dispersion.

Atomic structure:
a = 3.683 Å, b = 3.683 Å, c = 7.820 Å
α = 90.00°, β = 90.00°, γ = 90.00°
Positions (direct):
La1 0.000 0.000 0.000
Tm1 0.000 0.000 0.538
Tl1 0.500 0.500 0.291
Ga1 0.500 0.500 0.748

Principal peaks in the range 2θ = 10–90°, by angle:
2θ 11.3, d = 7.820 Å, rel. 12; 2θ 26.8, d = 3.332 Å, rel. 14; 2θ 33.4, d = 2.681 Å, rel. 100; 2θ 34.4, d = 2.605 Å, rel. 53; 2θ 49.5, d = 1.842 Å, rel. 24; 2θ 59.1, d = 1.564 Å, rel. 17; 2θ 61.0, d = 1.518 Å, rel. 36; 2θ 70.2, d = 1.341 Å, rel. 11